Record 1
CaMg6TiO8: simulated PXRD pattern (Cu Kα (λ = 1.5418 Å)), based on a crystal structure in the Materials Project, relaxed with PBE.

Crystal structure
```
data_CaMg6TiO8
_chemical_formula_sum 'Ca1 Mg6 Ti1 O8'
_cell_length_a 4.3800
_cell_length_b 4.3800
_cell_length_c 8.7813
_cell_angle_alpha 90.00
_cell_angle_beta 90.00
_cell_angle_gamma 90.00
_space_group_name_H-M_alt 'P 4/m m m'
_space_group_IT_number 123
_space_group_name_Hall '-P 4 2'
loop_
_atom_site_label
_atom_site_type_symbol
_atom_site_fract_x
_atom_site_fract_y
_atom_site_fract_z
Ca1 Ca 0.0000 0.0000 0.0000
Mg1 Mg 0.0000 0.5000 0.2533
Mg2 Mg 0.5000 0.5000 0.0000
Mg3 Mg 0.5000 0.5000 0.5000
Ti1 Ti 0.0000 0.0000 0.5000
O1 O 0.0000 0.0000 0.2587
O2 O 0.0000 0.5000 0.0000
O3 O 0.0000 0.5000 0.5000
O4 O 0.5000 0.5000 0.2513
```

Most intense lines, 10° ≤ 2θ ≤ 90°, by angle:
hkl, 2θ (°), I (rel.)
0 0 2, 20.3, 11
1 0 2, 28.8, 9
1 1 2, 35.5, 28
0 0 4, 41.1, 50
2 0 0, 41.2, 100
2 2 0, 59.7, 85
1 1 6, 71.3, 5
3 1 2, 71.4, 10
2 2 4, 75.1, 26
4 0 0, 89.5, 8

Record 2
CaPmMg2: simulated PXRD pattern (Cu Kα (λ = 1.5418 Å)), based on a crystal structure in the Materials Project, relaxed with PBE.

Crystal structure
```
data_CaPmMg2
_chemical_formula_sum 'Ca4 Pm4 Mg8'
_cell_length_a 7.8283
_cell_length_b 7.8283
_cell_length_c 7.8283
_cell_angle_alpha 90.00
_cell_angle_beta 90.00
_cell_angle_gamma 90.00
_space_group_name_H-M_alt 'F m -3 m'
_space_group_IT_number 225
_space_group_name_Hall '-F 4 2 3'
loop_
_atom_site_label
_atom_site_type_symbol
_atom_site_fract_x
_atom_site_fract_y
_atom_site_fract_z
Ca1 Ca 0.0000 0.0000 0.0000
Pm1 Pm 0.0000 0.0000 0.5000
Mg1 Mg 0.2500 0.2500 0.2500
```

Most intense lines, 10° ≤ 2θ ≤ 90°, by angle:
hkl, 2θ (°), I (rel.)
1 1 1, 19.6, 42
2 0 0, 22.7, 40
2 2 0, 32.3, 100
3 1 1, 38.1, 24
2 2 2, 39.9, 12
4 0 0, 46.4, 18
4 2 0, 52.3, 17
4 2 2, 57.7, 37
4 4 0, 67.7, 11
6 2 0, 77.0, 15

Record 3
Ca2MgPt2: simulated PXRD pattern (Cu Kα (λ = 1.5418 Å)), based on a crystal structure in the Materials Project, relaxed with PBE.

Crystal structure
```
data_Ca2MgPt2
_chemical_formula_sum 'Ca4 Mg2 Pt4'
_cell_length_a 4.3311
_cell_length_b 5.8509
_cell_length_c 8.8362
_cell_angle_alpha 90.00
_cell_angle_beta 90.00
_cell_angle_gamma 90.00
_space_group_name_H-M_alt 'I m m m'
_space_group_IT_number 71
_space_group_name_Hall '-I 2 2'
loop_
_atom_site_label
_atom_site_type_symbol
_atom_site_fract_x
_atom_site_fract_y
_atom_site_fract_z
Ca1 Ca 0.0000 0.0000 0.1997
Mg1 Mg 0.0000 0.5000 0.0000
Pt1 Pt 0.0000 0.2668 0.5000
```

Most intense lines, 10° ≤ 2θ ≤ 90°, by angle:
hkl, 2θ (°), I (rel.)
0 0 2, 20.1, 72
1 0 1, 22.9, 100
1 0 3, 36.9, 97
1 2 1, 38.5, 89
0 0 4, 40.9, 20
2 0 0, 41.7, 24
2 0 2, 46.7, 17
1 2 3, 48.6, 28
2 2 2, 56.9, 27
1 2 5, 65.3, 24

Record 4
RbCaMg6: simulated PXRD pattern (Cu Kα (λ = 1.5418 Å)), based on a crystal structure in the Materials Project, relaxed with PBE.

Crystal structure
```
data_RbCaMg6
_chemical_formula_sum 'Rb2 Ca2 Mg12'
_cell_length_a 5.5092
_cell_length_b 7.6296
_cell_length_c 11.6247
_cell_angle_alpha 90.00
_cell_angle_beta 90.00
_cell_angle_gamma 90.00
_space_group_name_H-M_alt 'A m m 2'
_space_group_IT_number 38
_space_group_name_Hall 'A 2 -2'
loop_
_atom_site_label
_atom_site_type_symbol
_atom_site_fract_x
_atom_site_fract_y
_atom_site_fract_z
Rb1 Rb 0.0000 0.0000 0.0000
Ca1 Ca 0.0000 0.0000 0.4965
Mg1 Mg 0.0000 0.2477 0.7528
Mg2 Mg 0.5000 0.0000 0.1936
Mg3 Mg 0.5000 0.0000 0.6844
Mg4 Mg 0.5000 0.2359 0.4104
```

Most intense lines, 10° ≤ 2θ ≤ 90°, by angle:
hkl, 2θ (°), I (rel.)
1 0 0, 16.1, 10
1 0 2, 22.2, 14
0 2 2, 28.0, 19
0 0 4, 30.8, 11
2 0 0, 32.5, 100
1 0 4, 34.9, 26
2 2 2, 43.4, 11
0 2 6, 53.0, 11
3 2 2, 57.9, 13
2 2 6, 63.6, 11

Record 5
RbCaMg14: simulated PXRD pattern (Cu Kα (λ = 1.5418 Å)), based on a crystal structure in the Materials Project, relaxed with PBE.

Crystal structure
```
data_RbCaMg14
_chemical_formula_sum 'Rb2 Ca2 Mg28'
_cell_length_a 10.8364
_cell_length_b 6.6738
_cell_length_c 11.5542
_cell_angle_alpha 90.00
_cell_angle_beta 90.00
_cell_angle_gamma 90.00
_space_group_name_H-M_alt 'A m m 2'
_space_group_IT_number 38
_space_group_name_Hall 'A 2 -2'
loop_
_atom_site_label
_atom_site_type_symbol
_atom_site_fract_x
_atom_site_fract_y
_atom_site_fract_z
Rb1 Rb 0.0000 0.0000 0.0000
Ca1 Ca 0.0000 0.0000 0.4958
Mg1 Mg 0.0000 0.2486 0.7509
Mg2 Mg 0.2530 0.0000 0.6693
Mg3 Mg 0.2628 0.0000 0.1742
Mg4 Mg 0.2698 0.2434 0.4123
Mg5 Mg 0.5000 0.0000 0.0008
Mg6 Mg 0.5000 0.0000 0.5019
Mg7 Mg 0.5000 0.2491 0.7488
```

Most intense lines, 10° ≤ 2θ ≤ 90°, by angle:
hkl, 2θ (°), I (rel.)
1 0 2, 17.4, 10
2 0 2, 22.5, 8
0 0 4, 31.0, 26
4 0 0, 33.1, 25
2 2 2, 35.2, 100
4 0 4, 45.9, 16
0 4 0, 55.1, 17
6 2 2, 60.4, 17
4 4 0, 65.7, 19
2 0 8, 67.1, 14

Record 6
RbCaMg14: simulated PXRD pattern (Cu Kα (λ = 1.5418 Å)), based on a crystal structure in the Materials Project, relaxed with PBE.

Crystal structure
```
data_RbCaMg14
_chemical_formula_sum 'Rb1 Ca1 Mg14'
_cell_length_a 6.7521
_cell_length_b 6.7521
_cell_length_c 10.6321
_cell_angle_alpha 90.00
_cell_angle_beta 90.00
_cell_angle_gamma 120.00
_space_group_name_H-M_alt 'P -6 m 2'
_space_group_IT_number 187
_space_group_name_Hall 'P -6 2'
loop_
_atom_site_label
_atom_site_type_symbol
_atom_site_fract_x
_atom_site_fract_y
_atom_site_fract_z
Rb1 Rb 0.0000 0.0000 0.0000
Ca1 Ca 0.0000 0.0000 0.5000
Mg1 Mg 0.0040 0.5020 0.0000
Mg2 Mg 0.0054 0.5027 0.5000
Mg3 Mg 0.1743 0.3486 0.2563
Mg4 Mg 0.6667 0.3333 0.2496
```

Most intense lines, 10° ≤ 2θ ≤ 90°, by angle:
hkl, 2θ (°), I (rel.)
1 0 0, 15.2, 10
1 0 2, 22.6, 13
2 0 0, 30.6, 26
0 0 4, 33.7, 25
2 0 2, 35.0, 100
2 0 4, 46.2, 16
2 2 0, 54.3, 18
2 0 6, 61.2, 18
2 2 4, 65.5, 19
4 0 2, 66.3, 14

Record 7
RbCaMg6: simulated PXRD pattern (Cu Kα (λ = 1.5418 Å)), based on a crystal structure in the Materials Project, relaxed with PBE.

Crystal structure
```
data_RbCaMg6
_chemical_formula_sum 'Rb2 Ca2 Mg12'
_cell_length_a 5.5504
_cell_length_b 6.9872
_cell_length_c 12.2002
_cell_angle_alpha 90.00
_cell_angle_beta 90.00
_cell_angle_gamma 90.00
_space_group_name_H-M_alt 'A m m 2'
_space_group_IT_number 38
_space_group_name_Hall 'A 2 -2'
loop_
_atom_site_label
_atom_site_type_symbol
_atom_site_fract_x
_atom_site_fract_y
_atom_site_fract_z
Rb1 Rb 0.0000 0.0000 0.0000
Ca1 Ca 0.5000 0.0000 0.1822
Mg1 Mg 0.0000 0.0000 0.5055
Mg2 Mg 0.0000 0.2479 0.7563
Mg3 Mg 0.5000 0.0000 0.6729
Mg4 Mg 0.5000 0.2336 0.4198
```

Most intense lines, 10° ≤ 2θ ≤ 90°, by angle:
hkl, 2θ (°), I (rel.)
0 1 1, 14.6, 31
1 0 2, 21.7, 34
0 0 4, 29.3, 15
0 2 2, 29.5, 22
2 0 0, 32.3, 36
1 0 4, 33.5, 45
1 2 2, 33.7, 100
0 2 6, 52.0, 17
3 2 2, 58.4, 19
2 2 6, 62.6, 19

Record 8
CaMgS2: simulated PXRD pattern (Cu Kα (λ = 1.5418 Å)), based on a crystal structure in the Materials Project, relaxed with PBE.

Crystal structure
```
data_CaMgS2
_chemical_formula_sum 'Ca3 Mg3 S6'
_cell_length_a 3.8759
_cell_length_b 3.8759
_cell_length_c 18.9207
_cell_angle_alpha 90.00
_cell_angle_beta 90.00
_cell_angle_gamma 120.00
_space_group_name_H-M_alt 'R -3 m'
_space_group_IT_number 166
_space_group_name_Hall '-R 3 2"'
loop_
_atom_site_label
_atom_site_type_symbol
_atom_site_fract_x
_atom_site_fract_y
_atom_site_fract_z
Ca1 Ca 0.0000 0.0000 0.0000
Mg1 Mg 0.0000 0.0000 0.5000
S1 S 0.0000 0.0000 0.2429
```

Most intense lines, 10° ≤ 2θ ≤ 90°, by angle:
hkl, 2θ (°), I (rel.)
1 0 4, 32.7, 100
0 1 5, 35.8, 4
1 1 0, 46.9, 34
0 1 8, 47.0, 31
0 2 4, 58.3, 16
0 0 12, 58.5, 5
2 0 8, 68.6, 9
2 1 4, 78.0, 13
1 1 12, 78.1, 12
3 0 0, 87.2, 15